Diffraction record for LiB. The PXRD pattern is simulated, not measured: it uses a cell relaxed with GGA-PBE and Cu Kα, 1.54184 Å.
Kinematic intensities with the Lorentz-polarization factor, no thermal factor.

Atomic structure:
```
LiB
1.0
6.150 0.000 0.000
0.000 3.080 0.000
0.000 0.000 5.715
Li B
4 4
direct
0.243 0.250 0.242 Li
0.257 0.750 0.742 Li
0.743 0.250 0.258 Li
0.757 0.750 0.758 Li
0.001 0.250 0.527 B
0.499 0.750 0.027 B
0.501 0.250 0.973 B
0.999 0.750 0.473 B
```

Top 10 peaks for 2θ = 10–90°, sorted by position:
2theta  I/Imax  index
21.22  1000  1 0 1
33.04  48  0 1 1
43.22  233  2 0 2
44.55  118  2 1 1
47.09  62  3 0 1
50.13  38  1 0 3
56.83  50  0 1 3
60.13  83  0 2 0
64.48  40  1 2 1
76.85  73  2 2 2